[1]
# Cu6BiS6
Simulated powder diffractogram, λ = 1.5418 Å (Cu Kα). Input: the GGA-PBE geometry in Alexandria.
Neutral-atom scattering factors, no anomalous dispersion.

Atomic structure:
Unit cell a=3.764 b=3.930 c=18.960 alpha=91.47 beta=90.02 gamma=118.57
Space group P1 (No. 1)
Symmetry-distinct sites (fractional):
Cu 0.000 0.000 0.000 (multiplicity 1)
Cu 0.006 0.020 0.752 (multiplicity 1)
Cu 0.104 0.224 0.227 (multiplicity 1)
Cu 0.284 0.583 0.094 (multiplicity 1)
Cu 0.318 0.654 0.335 (multiplicity 1)
Cu 0.778 0.561 0.891 (multiplicity 1)
Bi 0.645 0.307 0.542 (multiplicity 1)
S 0.305 0.615 0.959 (multiplicity 1)
S 0.311 0.640 0.453 (multiplicity 1)
S 0.627 0.270 0.294 (multiplicity 1)
S 0.683 0.375 0.781 (multiplicity 1)
S 0.957 0.927 0.121 (multiplicity 1)
S 0.980 0.975 0.629 (multiplicity 1)

The 10 most intense peaks (15 to 90 degrees two-theta), sorted by position:
2θ (°)	I_rel
18.73	38
27.33	100
30.35	32
30.71	27
31.63	33
33.28	25
42.93	32
46.25	32
47.54	69
48.37	30

***

[2]
# LiAg4Pb
Simulated powder diffractogram, λ = 1.5418 Å (Cu Kα). Input: the GGA-PBE geometry in Alexandria.
Neutral-atom scattering factors, no anomalous dispersion.

Atomic structure:
Unit cell a=5.188 b=5.208 c=5.249 alpha=100.05 beta=119.27 gamma=100.77
Space group P-1 (No. 2)
Symmetry-distinct sites (fractional):
Li 0.000 0.000 0.000 (multiplicity 1)
Ag 0.165 0.499 0.837 (multiplicity 2)
Ag 0.324 0.999 0.678 (multiplicity 2)
Pb 0.500 0.500 0.500 (multiplicity 1)

The 10 most intense peaks (15 to 90 degrees two-theta), sorted by position:
2θ (°)	I_rel
18.24	25
20.40	16
20.69	16
36.43	100
36.53	49
36.96	48
41.84	34
42.45	32
43.21	31
61.52	21